Record 1
Calculated powder XRD pattern of PaTl3Cd2S6 for copper Kα, from a cell relaxed with PBE.

Principal peaks in the range 2θ = 5–70°, by angle:
2theta  I (rel.)  hkl
23.5  48  0 0 2
27.3  93  2 0 0
30.5  100  1 3 1
30.7  49  2 0 -2
41.2  20  2 0 2
41.4  40  1 3 -3
46.1  32  3 3 -1
48.0  29  0 0 4
52.2  24  3 3 1
56.2  26  4 0 0

Structural model:
```
data_PaTl3Cd2S6
_chemical_formula_sum 'Pa2 Tl6 Cd4 S12'
_space_group_name_H-M_alt 'C 1 2/m 1'
_space_group_IT_number 12
_space_group_name_Hall '-C 2y'
_cell_length_a 6.8143
_cell_length_b 11.8599
_cell_length_c 7.8990
_cell_angle_alpha 90.00
_cell_angle_beta 106.38
_cell_angle_gamma 90.00
loop_
_atom_site_label
_atom_site_fract_x
_atom_site_fract_y
_atom_site_fract_z
Pa1 0.0000 0.0000 0.0000
Tl1 0.0000 0.1692 0.5000
Tl2 0.0000 0.5000 0.5000
Cd1 0.0000 0.3339 0.0000
S1 0.2286 0.1602 0.1998
S2 0.2487 0.5000 0.2061
```

Record 2
Calculated powder XRD pattern of PaCdSe3 for copper Kα, from a cell relaxed with PBE.

Principal peaks in the range 2θ = 5–70°, by angle:
2theta  I (rel.)  hkl
11.5  100  0 0 3
25.7  53  1 1 0
28.3  68  1 1 3
31.0  12  1 0 7
34.9  53  1 1 6
35.7  17  2 0 5
40.7  19  0 2 7
43.6  13  2 0 8
45.4  32  3 0 0
47.0  19  3 0 3

Structural model:
```
data_PaCdSe3
_chemical_formula_sum 'Pa6 Cd6 Se18'
_space_group_name_H-M_alt 'R 3 2'
_space_group_IT_number 155
_space_group_name_Hall 'R 3 2"'
_cell_length_a 6.9220
_cell_length_b 6.9220
_cell_length_c 23.0408
_cell_angle_alpha 90.00
_cell_angle_beta 90.00
_cell_angle_gamma 120.00
loop_
_atom_site_label
_atom_site_fract_x
_atom_site_fract_y
_atom_site_fract_z
Pa1 0.0000 0.0000 0.1666
Cd1 0.0000 0.0000 0.4377
Se1 0.0001 0.3932 0.4192
```

Record 3
Calculated powder XRD pattern of PaCdSn3 for copper Kα, from a cell relaxed with PBE.

Principal peaks in the range 2θ = 5–70°, by angle:
2theta  I (rel.)  hkl
10.5  18  0 0 1
33.0  100  0 1 3
33.6  93  1 1 0
34.3  37  1 0 2
36.9  16  1 1 2
39.1  32  0 2 1
42.2  29  1 0 -3
53.0  20  1 2 3
58.8  16  1 2 -2
65.7  28  2 1 3

Structural model:
```
data_PaCdSn3
_chemical_formula_sum 'Pa1 Cd1 Sn3'
_space_group_name_H-M_alt 'P 1'
_space_group_IT_number 1
_space_group_name_Hall 'P 1'
_cell_length_a 3.3369
_cell_length_b 4.6062
_cell_length_c 8.6967
_cell_angle_alpha 74.72
_cell_angle_beta 89.98
_cell_angle_gamma 89.94
loop_
_atom_site_label
_atom_site_fract_x
_atom_site_fract_y
_atom_site_fract_z
Pa1 0.0000 0.0000 0.0000
Cd1 0.4862 0.7945 0.4108
Sn1 0.4982 0.5981 0.8043
Sn2 0.5007 0.4091 0.1825
Sn3 0.9796 0.2028 0.5916
```

Record 4
Calculated powder XRD pattern of TbPaCd6 for copper Kα, from a cell relaxed with PBE.

Principal peaks in the range 2θ = 5–70°, by angle:
2theta  I (rel.)  hkl
10.8  84  0 0 3
18.7  27  0 1 2
22.5  65  1 0 4
33.9  56  0 1 8
35.1  68  0 2 1
35.7  100  2 0 2
37.4  67  1 1 6
40.6  27  1 0 10
56.0  32  0 0 15
62.5  28  2 2 0

Structural model:
```
data_TbPaCd6
_chemical_formula_sum 'Tb3 Pa3 Cd18'
_space_group_name_H-M_alt 'R -3 m'
_space_group_IT_number 166
_space_group_name_Hall '-R 3 2"'
_cell_length_a 5.9400
_cell_length_b 5.9400
_cell_length_c 24.6202
_cell_angle_alpha 90.00
_cell_angle_beta 90.00
_cell_angle_gamma 120.00
loop_
_atom_site_label
_atom_site_fract_x
_atom_site_fract_y
_atom_site_fract_z
Tb1 0.0000 0.0000 0.0000
Pa1 0.0000 0.0000 0.5000
Cd1 0.0050 0.5025 0.4382
```

Record 5
Calculated powder XRD pattern of CdPb for copper Kα, from a cell relaxed with PBE.

Principal peaks in the range 2θ = 5–70°, by angle:
2theta  I (rel.)  hkl
20.1  8  1 1 1
33.0  100  2 2 0
39.0  5  3 1 1
47.4  18  4 0 0
52.0  2  3 3 1
59.0  38  4 2 2
63.0  2  5 1 1
69.3  12  4 4 0

Structural model:
Unit cell a=7.6663 b=7.6663 c=7.6663 alpha=90.00 beta=90.00 gamma=90.00
Space group Fd-3m (No. 227, origin choice 2)
Symmetry-distinct sites (fractional):
Cd  0.1250  0.1250  0.1250 (multiplicity 8)
Pb  0.1250  0.1250  0.6250 (multiplicity 8)

Record 6
Calculated powder XRD pattern of Cd2Pb for copper Kα, from a cell relaxed with PBE.

Principal peaks in the range 2θ = 5–70°, by angle:
2theta  I (rel.)  hkl
17.9  2  1 1 1
29.5  47  2 2 0
34.7  100  3 1 1
36.3  23  2 2 2
46.2  1  3 3 1
52.3  20  4 2 2
55.8  34  5 1 1
61.2  27  4 4 0
64.4  1  5 3 1
69.4  9  6 2 0

Structural model:
Unit cell a=8.5624 b=8.5624 c=8.5624 alpha=90.00 beta=90.00 gamma=90.00
Space group Fd-3m (No. 227, origin choice 2)
Symmetry-distinct sites (fractional):
Cd  0.0000  0.0000  0.0000 (multiplicity 16)
Pb  0.1250  0.1250  0.6250 (multiplicity 8)

Record 7
Calculated powder XRD pattern of CdPb5 for copper Kα, from a cell relaxed with PBE.

Principal peaks in the range 2θ = 5–70°, by angle:
2theta  I (rel.)  hkl
16.6  14  1 1 1
27.3  19  2 2 0
32.1  100  3 1 1
33.6  49  2 2 2
39.0  9  4 0 0
48.3  8  4 2 2
51.4  36  5 1 1
56.3  33  4 4 0
66.4  13  5 3 3
67.2  21  6 2 2

Structural model:
```
data_CdPb5
_chemical_formula_sum 'Cd4 Pb20'
_space_group_name_H-M_alt 'F -4 3 m'
_space_group_IT_number 216
_space_group_name_Hall 'F -4 2 3'
_cell_length_a 9.2376
_cell_length_b 9.2376
_cell_length_c 9.2376
_cell_angle_alpha 90.00
_cell_angle_beta 90.00
_cell_angle_gamma 90.00
loop_
_atom_site_label
_atom_site_fract_x
_atom_site_fract_y
_atom_site_fract_z
Cd1 0.0000 0.0000 0.0000
Pb1 0.1251 0.1251 0.3749
Pb2 0.2500 0.2500 0.7500
```

Record 8
Calculated powder XRD pattern of Cd2Pb3 for copper Kα, from a cell relaxed with PBE.

Principal peaks in the range 2θ = 5–70°, by angle:
2theta  I (rel.)  hkl
22.7  3  0 0 6
25.9  5  1 0 1
32.0  100  1 0 5
36.5  36  1 1 0
38.4  15  0 0 10
52.6  13  2 0 0
54.0  22  1 1 10
63.0  29  2 1 5
65.4  12  1 0 15
67.0  12  2 0 10

Structural model:
```
data_Cd2Pb3
_chemical_formula_sum 'Cd4 Pb6'
_space_group_name_H-M_alt 'I 4/m m m'
_space_group_IT_number 139
_space_group_name_Hall '-I 4 2'
_cell_length_a 3.4773
_cell_length_b 3.4773
_cell_length_c 23.4551
_cell_angle_alpha 90.00
_cell_angle_beta 90.00
_cell_angle_gamma 90.00
loop_
_atom_site_label
_atom_site_fract_x
_atom_site_fract_y
_atom_site_fract_z
Cd1 0.0000 0.0000 0.0979
Pb1 0.0000 0.0000 0.3041
Pb2 0.0000 0.0000 0.5000
```

> Which formula does entry 4 have?

TbPaCd6